Diffraction record for Ac3Ga7Rh2. The X-ray powder pattern is computed, not measured: it uses a GGA-PBE-relaxed structure and a wavelength of 1.5418 Å.
Neutral-atom scattering factors, no anomalous dispersion.

Principal peaks in the range 2θ from 15° to 90°, in order of rising 2θ:
- 28.0 deg, I 29
- 32.4 deg, I 100
- 33.0 deg, I 37
- 35.9 deg, I 25
- 36.4 deg, I 26
- 39.4 deg, I 35
- 40.0 deg, I 39
- 57.4 deg, I 27
- 65.5 deg, I 20
- 67.0 deg, I 22

Cell and atoms:
```
Ac3Ga7Rh2
1.0
4.510 0.000 0.000
0.000 4.578 0.000
-2.244 0.000 13.512
Ac Ga Rh
3 7 2
direct
0.000 0.000 0.000 Ac
0.321 0.500 0.640 Ac
0.679 0.500 0.360 Ac
0.086 0.500 0.174 Ga
0.222 0.000 0.445 Ga
0.413 0.000 0.828 Ga
0.500 0.500 0.000 Ga
0.587 0.000 0.172 Ga
0.778 0.000 0.555 Ga
0.914 0.500 0.826 Ga
0.129 0.000 0.258 Rh
0.871 0.000 0.742 Rh
```

---

Diffraction record for RbLi2Hf3S8. The X-ray powder pattern is computed, not measured: it uses a GGA-PBE-relaxed structure and a wavelength of 1.5418 Å.
Neutral-atom scattering factors, no anomalous dispersion.

Principal peaks in the range 2θ from 15° to 90°, in order of rising 2θ:
- 15.5 deg, I 53
- 19.6 deg, I 43
- 20.8 deg, I 40
- 26.4 deg, I 43
- 28.3 deg, I 80
- 31.4 deg, I 100
- 37.4 deg, I 98
- 39.9 deg, I 42
- 49.7 deg, I 45
- 50.9 deg, I 36

Cell and atoms:
```
RbLi2Hf3S8
1.0
3.671 2.120 8.560
-3.671 2.120 8.560
0.000 -4.239 8.560
Rb Li Hf S
1 2 3 8
direct
0.000 0.000 0.000 Rb
0.154 0.154 0.154 Li
0.584 0.584 0.584 Li
0.152 0.650 0.650 Hf
0.650 0.152 0.650 Hf
0.650 0.650 0.152 Hf
0.378 0.378 0.867 S
0.378 0.867 0.378 S
0.427 0.427 0.427 S
0.442 0.922 0.922 S
0.867 0.378 0.378 S
0.874 0.874 0.874 S
0.922 0.442 0.922 S
0.922 0.922 0.442 S
```

---

Diffraction record for Pr14PuMg. The X-ray powder pattern is computed, not measured: it uses a GGA-PBE-relaxed structure and a wavelength of 1.5418 Å.
Neutral-atom scattering factors, no anomalous dispersion.

Principal peaks in the range 2θ from 15° to 90°, in order of rising 2θ:
- 28.6 deg, I 3
- 29.9 deg, I 100
- 34.7 deg, I 51
- 49.8 deg, I 36
- 59.2 deg, I 43
- 62.1 deg, I 12
- 73.2 deg, I 4
- 81.0 deg, I 17
- 83.5 deg, I 11
- 83.6 deg, I 5

Cell and atoms:
```
Pr14PuMg
1.0
10.364 0.000 0.000
0.000 5.174 5.174
0.000 -5.174 5.174
Pr Pu Mg
14 1 1
direct
0.000 0.000 0.000 Pr
0.000 0.002 0.498 Pr
0.000 0.498 0.002 Pr
0.000 0.500 0.500 Pr
0.255 0.750 0.750 Pr
0.257 0.250 0.750 Pr
0.257 0.750 0.250 Pr
0.259 0.250 0.250 Pr
0.500 0.502 0.997 Pr
0.500 0.997 0.502 Pr
0.741 0.250 0.250 Pr
0.743 0.250 0.750 Pr
0.743 0.750 0.250 Pr
0.745 0.750 0.750 Pr
0.500 0.000 0.000 Pu
0.500 0.500 0.500 Mg
```

---

Diffraction record for EuP3O9. The X-ray powder pattern is computed, not measured: it uses a GGA-PBE-relaxed structure and a wavelength of 1.5418 Å.
Neutral-atom scattering factors, no anomalous dispersion.

Principal peaks in the range 2θ from 15° to 90°, in order of rising 2θ:
- 15.7 deg, I 77
- 17.6 deg, I 43
- 23.8 deg, I 45
- 24.1 deg, I 100
- 25.8 deg, I 74
- 28.6 deg, I 60
- 34.3 deg, I 36
- 35.6 deg, I 28
- 41.3 deg, I 28
- 45.2 deg, I 37

Cell and atoms:
```
EuP3O9
1.0
4.330 -5.653 0.000
4.330 5.653 0.000
0.000 0.000 7.397
Eu P O
2 6 18
direct
0.126 0.126 0.000 Eu
0.874 0.874 0.500 Eu
0.249 0.249 0.500 P
0.317 0.667 0.046 P
0.333 0.683 0.454 P
0.667 0.317 0.954 P
0.683 0.333 0.546 P
0.751 0.751 0.000 P
0.135 0.173 0.331 O
0.173 0.135 0.669 O
0.174 0.784 0.465 O
0.216 0.826 0.035 O
0.219 0.474 0.964 O
0.253 0.470 0.542 O
0.373 0.627 0.250 O
0.470 0.253 0.458 O
0.474 0.219 0.036 O
0.526 0.781 0.536 O
0.530 0.747 0.958 O
0.627 0.373 0.750 O
0.747 0.530 0.042 O
0.781 0.526 0.464 O
0.784 0.174 0.535 O
0.826 0.216 0.965 O
0.827 0.865 0.169 O
0.865 0.827 0.831 O
```

---

Diffraction record for SmUAsO2. The X-ray powder pattern is computed, not measured: it uses a GGA-PBE-relaxed structure and a wavelength of 1.5418 Å.
Neutral-atom scattering factors, no anomalous dispersion.

Principal peaks in the range 2θ from 15° to 90°, in order of rising 2θ:
- 24.4 deg, I 29
- 29.1 deg, I 9
- 32.0 deg, I 100
- 33.2 deg, I 44
- 44.7 deg, I 18
- 47.6 deg, I 22
- 56.4 deg, I 16
- 57.8 deg, I 9
- 58.6 deg, I 37
- 78.1 deg, I 8

Cell and atoms:
```
SmUAsO2
1.0
-1.909 1.909 6.147
1.909 -1.909 6.147
1.909 1.909 -6.147
Sm U As O
1 1 1 2
direct
0.000 0.000 0.000 Sm
0.709 0.709 0.000 U
0.355 0.355 0.000 As
0.114 0.614 0.500 O
0.614 0.114 0.500 O
```

---

Diffraction record for K2MnPbCl6. The X-ray powder pattern is computed, not measured: it uses a GGA-PBE-relaxed structure and a wavelength of 1.5418 Å.
Neutral-atom scattering factors, no anomalous dispersion.

Principal peaks in the range 2θ from 15° to 90°, in order of rising 2θ:
- 16.7 deg, I 100
- 16.9 deg, I 40
- 23.7 deg, I 63
- 23.8 deg, I 46
- 24.1 deg, I 63
- 27.8 deg, I 47
- 28.5 deg, I 26
- 33.8 deg, I 78
- 34.3 deg, I 28
- 37.0 deg, I 26

Cell and atoms:
```
K2MnPbCl6
1.0
7.376 0.000 0.000
3.574 6.454 0.000
3.656 2.176 6.169
K Mn Pb Cl
2 1 1 6
direct
0.248 0.244 0.275 K
0.752 0.756 0.725 K
0.500 0.500 0.500 Mn
0.000 0.000 0.000 Pb
0.204 0.679 0.328 Cl
0.274 0.265 0.834 Cl
0.318 0.793 0.676 Cl
0.682 0.207 0.324 Cl
0.726 0.735 0.166 Cl
0.796 0.321 0.672 Cl
```

---

Diffraction record for Ba3PtBr. The X-ray powder pattern is computed, not measured: it uses a GGA-PBE-relaxed structure and a wavelength of 1.5418 Å.
Neutral-atom scattering factors, no anomalous dispersion.

Principal peaks in the range 2θ from 15° to 90°, in order of rising 2θ:
- 20.6 deg, I 19
- 24.5 deg, I 42
- 25.5 deg, I 65
- 26.0 deg, I 30
- 29.7 deg, I 100
- 30.2 deg, I 53
- 39.1 deg, I 77
- 39.2 deg, I 19
- 40.0 deg, I 67
- 50.2 deg, I 27

Cell and atoms:
```
Ba3PtBr
1.0
7.762 0.000 0.000
0.000 4.606 0.000
-2.652 0.000 12.294
Ba Pt Br
6 2 2
direct
0.009 0.250 0.306 Ba
0.263 0.250 0.994 Ba
0.477 0.250 0.702 Ba
0.523 0.750 0.298 Ba
0.737 0.750 0.006 Ba
0.991 0.750 0.694 Ba
0.362 0.750 0.841 Pt
0.638 0.250 0.159 Pt
0.244 0.750 0.493 Br
0.756 0.250 0.507 Br
```

---

Diffraction record for KYB4H16. The X-ray powder pattern is computed, not measured: it uses a GGA-PBE-relaxed structure and a wavelength of 1.5418 Å.
Neutral-atom scattering factors, no anomalous dispersion.

Principal peaks in the range 2θ from 15° to 90°, in order of rising 2θ:
- 15.8 deg, I 100
- 17.0 deg, I 72
- 21.1 deg, I 41
- 22.6 deg, I 79
- 23.9 deg, I 42
- 27.2 deg, I 36
- 34.4 deg, I 21
- 37.7 deg, I 19
- 37.9 deg, I 19
- 40.8 deg, I 38

Cell and atoms:
```
KYB4H16
1.0
4.208 -6.217 0.000
4.208 6.217 0.000
0.000 0.000 9.533
K Y B H
2 2 8 32
direct
0.000 0.000 0.000 K
0.000 0.000 0.500 K
0.368 0.632 0.750 Y
0.632 0.368 0.250 Y
0.248 0.275 0.750 B
0.259 0.741 0.535 B
0.259 0.741 0.965 B
0.275 0.248 0.250 B
0.725 0.752 0.750 B
0.741 0.259 0.035 B
0.741 0.259 0.465 B
0.752 0.725 0.250 B
0.102 0.193 0.250 H
0.113 0.333 0.750 H
0.121 0.640 0.608 H
0.121 0.640 0.892 H
0.193 0.102 0.750 H
0.208 0.792 0.073 H
0.208 0.792 0.427 H
0.333 0.113 0.250 H
0.342 0.348 0.146 H
0.342 0.348 0.354 H
0.348 0.342 0.646 H
0.348 0.342 0.854 H
0.356 0.644 0.509 H
0.356 0.644 0.991 H
0.360 0.879 0.608 H
0.360 0.879 0.892 H
0.640 0.121 0.108 H
0.640 0.121 0.392 H
0.644 0.356 0.009 H
0.644 0.356 0.491 H
0.652 0.658 0.146 H
0.652 0.658 0.354 H
0.658 0.652 0.646 H
0.658 0.652 0.854 H
0.667 0.887 0.750 H
0.792 0.208 0.573 H
0.792 0.208 0.927 H
0.807 0.898 0.250 H
0.879 0.360 0.108 H
0.879 0.360 0.392 H
0.887 0.667 0.250 H
0.898 0.807 0.750 H
```

---

Diffraction record for SnMoBr6. The X-ray powder pattern is computed, not measured: it uses a GGA-PBE-relaxed structure and a wavelength of 1.5418 Å.
Neutral-atom scattering factors, no anomalous dispersion.

Principal peaks in the range 2θ from 15° to 90°, in order of rising 2θ:
- 16.9 deg, I 77
- 28.5 deg, I 45
- 30.7 deg, I 35
- 31.1 deg, I 39
- 31.6 deg, I 40
- 32.1 deg, I 38
- 32.5 deg, I 42
- 34.0 deg, I 41
- 34.2 deg, I 76
- 38.3 deg, I 100

Cell and atoms:
```
SnMoBr6
1.0
5.275 -5.252 0.000
5.275 5.252 0.000
-0.531 0.000 10.487
Sn Mo Br
2 2 12
direct
0.142 0.858 0.750 Sn
0.858 0.142 0.250 Sn
0.000 0.500 0.500 Mo
0.500 0.000 0.000 Mo
0.043 0.499 0.259 Br
0.154 0.198 0.501 Br
0.198 0.154 0.001 Br
0.303 0.664 0.549 Br
0.336 0.697 0.951 Br
0.499 0.043 0.759 Br
0.501 0.957 0.241 Br
0.664 0.303 0.049 Br
0.697 0.336 0.451 Br
0.802 0.846 0.999 Br
0.846 0.802 0.499 Br
0.957 0.501 0.741 Br
```

---

Diffraction record for BC5. The X-ray powder pattern is computed, not measured: it uses a GGA-PBE-relaxed structure and a wavelength of 1.5418 Å.
Neutral-atom scattering factors, no anomalous dispersion.

Principal peaks in the range 2θ from 15° to 90°, in order of rising 2θ:
- 16.2 deg, I 1
- 25.6 deg, I 2
- 29.7 deg, I 1
- 43.0 deg, I 100
- 73.2 deg, I 13
- 73.6 deg, I 13
- 74.0 deg, I 13
- 88.5 deg, I 8
- 89.2 deg, I 8

Cell and atoms:
```
BC5
1.0
1.836 -5.461 0.000
1.836 5.461 0.000
0.000 0.000 3.607
B C
2 10
direct
0.082 0.918 0.750 B
0.918 0.082 0.250 B
0.088 0.426 0.507 C
0.250 0.750 0.250 C
0.267 0.267 0.000 C
0.417 0.583 0.750 C
0.426 0.088 0.493 C
0.574 0.912 0.993 C
0.583 0.417 0.250 C
0.733 0.733 0.500 C
0.750 0.250 0.750 C
0.912 0.574 0.007 C
```

---

Diffraction record for BaRe2PN2. The X-ray powder pattern is computed, not measured: it uses a GGA-PBE-relaxed structure and a wavelength of 1.5418 Å.
Neutral-atom scattering factors, no anomalous dispersion.

Principal peaks in the range 2θ from 15° to 90°, in order of rising 2θ:
- 15.2 deg, I 100
- 25.3 deg, I 46
- 26.5 deg, I 64
- 33.2 deg, I 28
- 35.0 deg, I 33
- 35.8 deg, I 25
- 37.0 deg, I 27
- 37.5 deg, I 54
- 52.2 deg, I 27
- 54.7 deg, I 32

Cell and atoms:
```
BaRe2PN2
1.0
6.754 0.000 0.000
0.000 5.259 0.000
-2.646 0.000 7.044
Ba Re P N
2 4 2 4
direct
0.172 0.250 0.320 Ba
0.828 0.750 0.680 Ba
0.369 0.501 0.811 Re
0.369 0.999 0.811 Re
0.631 0.001 0.189 Re
0.631 0.499 0.189 Re
0.306 0.750 0.057 P
0.694 0.250 0.943 P
0.150 0.250 0.699 N
0.414 0.750 0.639 N
0.586 0.250 0.361 N
0.850 0.750 0.301 N
```

---

Diffraction record for CaCuPd4. The X-ray powder pattern is computed, not measured: it uses a GGA-PBE-relaxed structure and a wavelength of 1.5418 Å.
Neutral-atom scattering factors, no anomalous dispersion.

Principal peaks in the range 2θ from 15° to 90°, in order of rising 2θ:
- 20.4 deg, I 42
- 33.7 deg, I 11
- 39.7 deg, I 100
- 41.5 deg, I 63
- 48.3 deg, I 17
- 53.0 deg, I 10
- 64.3 deg, I 31
- 70.8 deg, I 29
- 84.3 deg, I 11
- 85.5 deg, I 23

Cell and atoms:
```
CaCuPd4
1.0
0.000 3.766 3.766
3.766 0.000 3.766
3.766 3.766 0.000
Ca Cu Pd
1 1 4
direct
0.000 0.000 0.000 Ca
0.250 0.250 0.250 Cu
0.126 0.625 0.625 Pd
0.625 0.126 0.625 Pd
0.625 0.625 0.126 Pd
0.625 0.625 0.625 Pd
```